# 1
This entry pairs a crystal structure of Pr3Ho3In5 with its theoretical powder XRD pattern. Radiation: Cu Kα (λ = 1.5418 Å). Structure: a structure optimized by DFT (GGA-PBE).
No peak broadening, texture or thermal motion is included.

Structural model:
```
Pr3Ho3In5
1.0
9.0697 0.0000 0.0000
-4.5348 7.8546 0.0000
0.0000 0.0000 5.7661
Pr Ho In
3 3 5
direct
0.0000 0.4704 0.0000
0.4704 0.0000 0.0000
0.5296 0.5296 0.0000
0.0000 0.7257 0.5000
0.2743 0.2743 0.5000
0.7257 0.0000 0.5000
0.0000 0.3574 0.5000
0.3333 0.6667 0.5000
0.3574 0.0000 0.5000
0.6426 0.6426 0.5000
0.6667 0.3333 0.5000
```

Peak list (10 most intense, 10 to 80 degrees two-theta, by angle)
2θ (°)	I_rel	(hkl)
11.27	29	1 0 0
15.37	69	0 0 1
27.48	91	2 0 1
30.10	60	2 1 0
31.02	68	0 0 2
34.25	41	3 0 0
37.73	100	3 0 1
43.77	43	2 1 2
46.87	34	3 0 2
59.68	26	3 0 3

---

# 2
This entry pairs a crystal structure of Rb4F with its theoretical powder XRD pattern. Radiation: Cu Kα (λ = 1.5418 Å). Structure: a structure optimized by DFT (GGA-PBE).
No peak broadening, texture or thermal motion is included.

Structural model:
```
Rb4F
1.0
6.5131 0.0000 0.0000
0.0000 6.5131 0.0000
0.0000 0.0000 6.5131
Rb F
4 1
direct
0.0000 0.0000 0.0000
0.0000 0.5000 0.5000
0.5000 0.0000 0.5000
0.5000 0.5000 0.0000
0.5000 0.5000 0.5000
```

Peak list (10 most intense, 10 to 80 degrees two-theta, by angle)
2θ (°)	I_rel	(hkl)
23.66	100	1 1 1
27.39	66	2 0 0
39.12	49	2 2 0
46.23	49	3 1 1
48.41	17	2 2 2
56.52	8	4 0 0
62.12	20	3 3 1
63.92	22	4 2 0
70.88	16	4 2 2
75.91	15	5 1 1